NaZn2GaAu4: simulated XRD peak list (λ = 1.5418 Å (Cu Kα)), based on a structure optimized by DFT (PBE).
Peak positions follow from Bragg's law for the DFT cell and can differ from measured ones.

Peak list (6 most intense, 10° ≤ 2θ ≤ 90°, by angle)
d_spacing	intensity
3.268	69
2.320	87
2.301	100
1.634	29
1.332	30
1.329	17

Structure:
a b c (Å): 4.6026 4.6026 22.8285
angles (deg): 90.00 90.00 120.00
Space group R-3m (No. 166, hexagonal axes)
Symmetry-distinct sites (fractional):
Na 0.0000 0.0000 0.0000 [3 per cell]
Zn 0.0000 0.0000 0.2599 [6 per cell]
Ga 0.0000 0.0000 0.5000 [3 per cell]
Au 0.0000 0.0000 0.1310 [6 per cell]
Au 0.0000 0.0000 0.3845 [6 per cell]



Nb7Ga5Au: simulated XRD peak list (λ = 1.5418 Å (Cu Kα)), based on a structure optimized by DFT (PBE).
Peak positions follow from Bragg's law for the DFT cell and can differ from measured ones.

Peak list (6 most intense, 10° ≤ 2θ ≤ 90°, by angle)
d_spacing	intensity
2.671	49
2.318	100
2.313	39
2.079	29
2.072	34
1.336	24

Structure:
a b c (Å): 5.3428 9.2533 9.3088
angles (deg): 90.00 90.00 90.00
Space group Imm2 (No. 44)
Symmetry-distinct sites (fractional):
Nb 0.0000 0.0000 0.0000 [2 per cell]
Nb 0.0000 0.0000 0.2734 [2 per cell]
Nb 0.0000 0.3210 0.1322 [4 per cell]
Nb 0.0000 0.3439 0.6311 [4 per cell]
Nb 0.0000 0.5000 0.3677 [2 per cell]
Ga 0.0000 0.5000 0.8934 [2 per cell]
Ga 0.2496 0.2495 0.3831 [8 per cell]
Au 0.0000 0.0000 0.6800 [2 per cell]



Nb12Ga3Au: simulated XRD peak list (λ = 1.5418 Å (Cu Kα)), based on a structure optimized by DFT (PBE).
Peak positions follow from Bragg's law for the DFT cell and can differ from measured ones.

Peak list (6 most intense, 10° ≤ 2θ ≤ 90°, by angle)
d_spacing	intensity
2.609	30
2.333	81
2.328	41
2.128	100
1.394	25
1.392	25

Structure:
a b c (Å): 5.2132 5.2233 10.4051
angles (deg): 90.00 90.00 90.00
Space group Pmmm (No. 47)
Symmetry-distinct sites (fractional):
Nb 0.0000 0.0000 0.1234 [2 per cell]
Nb 0.0000 0.0000 0.3725 [2 per cell]
Nb 0.2510 0.5000 0.2528 [4 per cell]
Nb 0.5000 0.2504 0.0000 [2 per cell]
Nb 0.5000 0.2502 0.5000 [2 per cell]
Ga 0.0000 0.5000 0.5000 [1 per cell]
Ga 0.5000 0.0000 0.2517 [2 per cell]
Au 0.0000 0.5000 0.0000 [1 per cell]



NbTlGaAu2: simulated XRD peak list (λ = 1.5418 Å (Cu Kα)), based on a structure optimized by DFT (PBE).
Peak positions follow from Bragg's law for the DFT cell and can differ from measured ones.

Peak list (6 most intense, 10° ≤ 2θ ≤ 90°, by angle)
d_spacing	intensity
5.152	27
3.053	100
2.797	36
2.576	57
1.895	46
1.564	29

Structure:
a b c (Å): 5.1519 5.1519 5.5936
angles (deg): 90.00 90.00 90.00
Space group P4/mmm (No. 123)
Symmetry-distinct sites (fractional):
Nb 0.0000 0.0000 0.0000 [1 per cell]
Tl 0.0000 0.0000 0.5000 [1 per cell]
Ga 0.5000 0.5000 0.5000 [1 per cell]
Au 0.0000 0.5000 0.0000 [2 per cell]



Nd3Ga6Au5: simulated XRD peak list (λ = 1.5418 Å (Cu Kα)), based on a structure optimized by DFT (PBE).
Peak positions follow from Bragg's law for the DFT cell and can differ from measured ones.

Peak list (6 most intense, 10° ≤ 2θ ≤ 90°, by angle)
d_spacing	intensity
2.729	30
2.635	100
2.613	27
2.431	25
2.244	47
2.097	25

Structure:
a b c (Å): 4.4872 13.2404 9.6451
angles (deg): 90.00 90.00 90.00
Space group Pmmn (No. 59, origin choice 2)
Symmetry-distinct sites (fractional):
Nd 0.2500 0.0533 0.2492 [4 per cell]
Nd 0.2500 0.7500 0.2536 [2 per cell]
Ga 0.2500 0.0837 0.8873 [4 per cell]
Ga 0.2500 0.2500 0.0504 [2 per cell]
Ga 0.2500 0.2500 0.4461 [2 per cell]
Ga 0.2500 0.5996 0.5266 [4 per cell]
Au 0.2500 0.0957 0.6186 [4 per cell]
Au 0.2500 0.6153 0.9761 [4 per cell]
Au 0.2500 0.7500 0.7266 [2 per cell]



NdGa3Au: simulated XRD peak list (λ = 1.5418 Å (Cu Kα)), based on a structure optimized by DFT (PBE).
Peak positions follow from Bragg's law for the DFT cell and can differ from measured ones.

Peak list (6 most intense, 10° ≤ 2θ ≤ 90°, by angle)
d_spacing	intensity
3.054	44
2.791	100
2.668	94
2.159	73
1.956	45
1.708	47

Structure:
a b c (Å): 4.3190 4.3190 10.9686
angles (deg): 90.00 90.00 90.00
Space group I4mm (No. 107)
Symmetry-distinct sites (fractional):
Nd 0.0000 0.0000 0.0000 [2 per cell]
Ga 0.0000 0.0000 0.5927 [2 per cell]
Ga 0.0000 0.5000 0.2347 [4 per cell]
Au 0.0000 0.0000 0.3650 [2 per cell]



Nd2GaAu5: simulated XRD peak list (λ = 1.5418 Å (Cu Kα)), based on a structure optimized by DFT (PBE).
Peak positions follow from Bragg's law for the DFT cell and can differ from measured ones.

Peak list (6 most intense, 10° ≤ 2θ ≤ 90°, by angle)
d_spacing	intensity
2.596	100
2.300	20
2.287	19
2.165	15
1.622	11
1.318	13

Structure:
a b c (Å): 8.6586 9.1492 6.3142
angles (deg): 90.00 133.24 90.00
Space group Cm (No. 8)
Symmetry-distinct sites (fractional):
Nd 0.0000 0.2499 0.0000 [4 per cell]
Ga 0.4048 0.0000 0.5007 [2 per cell]
Au 0.0010 0.2206 0.5004 [4 per cell]
Au 0.2238 0.0000 0.9466 [2 per cell]
Au 0.2281 0.5000 0.4991 [2 per cell]
Au 0.2778 0.5000 0.0541 [2 per cell]



NdGa4Au4: simulated XRD peak list (λ = 1.5418 Å (Cu Kα)), based on a structure optimized by DFT (PBE).
Peak positions follow from Bragg's law for the DFT cell and can differ from measured ones.

Peak list (6 most intense, 10° ≤ 2θ ≤ 90°, by angle)
d_spacing	intensity
2.966	100
2.716	56
2.682	89
2.221	55
2.174	54
1.993	41

Structure:
a b c (Å): 6.2805 6.2805 9.0376
angles (deg): 90.00 90.00 90.00
Space group P4_2/nmc (No. 137, origin choice 2)
Symmetry-distinct sites (fractional):
Nd 0.2500 0.7500 0.2500 [2 per cell]
Ga 0.0355 0.2500 0.1524 [8 per cell]
Au 0.0209 0.2500 0.4429 [8 per cell]



Number 2 is which compound?
Nb7Ga5Au